# 1
# Tm6Tl2N
Computed powder diffractogram, λ = 1.5418 Å (Cu Kα). Input: a DFT-relaxed cell (PBE, Alexandria).

Top 9 peaks for 15 to 90 degrees two-theta, by intensity:
index	d_spacing	I/Imax
2 2 2	2.760	100
4 0 0	2.390	52
6 2 2	1.441	42
4 4 0	1.690	37
6 6 2	1.097	18
4 4 4	1.380	12
8 0 0	1.195	6
2 2 0	3.380	1
1 1 1	5.520	1

Atomic structure:
abc: 9.5603 9.5603 9.5603
angles: 90.00 90.00 90.00
Space group Fm-3m (No. 225)
One atom of each set of equivalent atoms:
Tm 0.0000 0.0000 0.2450 (multiplicity 24)
Tl 0.2500 0.2500 0.2500 (multiplicity 8)
N 0.0000 0.0000 0.0000 (multiplicity 4)


# 2
# Rb2SrSe2O6
Computed powder diffractogram, λ = 1.5418 Å (Cu Kα). Input: a DFT-relaxed cell (PBE, Alexandria).

Top 10 peaks for 15 to 90 degrees two-theta, by intensity:
index	d_spacing	I/Imax
3 1 0	3.095	100
1 1 2	2.870	96
0 2 0	3.147	72
2 2 -2	2.290	71
3 1 -1	3.055	63
2 0 -2	3.338	52
0 0 2	3.617	48
0 4 0	1.573	37
1 1 0	5.420	28
3 3 0	1.807	26

Atomic structure:
abc: 10.9076 6.2936 7.4002
angles: 90.00 102.18 90.00
Space group C2/m (No. 12)
One atom of each set of equivalent atoms:
Rb 0.1935 0.0000 0.2011 (multiplicity 4)
Sr 0.0000 0.5000 0.0000 (multiplicity 2)
Se 0.1284 0.0000 0.7099 (multiplicity 4)
O 0.0816 0.2138 0.8243 (multiplicity 8)
O 0.2108 0.5000 0.2177 (multiplicity 4)


# 3
# KTcTe2
Computed powder diffractogram, λ = 1.5418 Å (Cu Kα). Input: a DFT-relaxed cell (PBE, Alexandria).

Top 10 peaks for 15 to 90 degrees two-theta, by intensity:
index	d_spacing	I/Imax
1 1 1	2.921	100
2 0 -2	3.052	50
3 1 -1	2.077	45
1 1 2	2.423	35
1 1 -4	1.767	23
2 0 -3	2.404	19
2 0 2	2.522	17
1 1 -3	2.146	16
4 0 0	1.893	15
0 2 0	1.792	14

Atomic structure:
abc: 7.7093 3.5837 8.1461
angles: 90.00 100.90 90.00
Space group C2/m (No. 12)
One atom of each set of equivalent atoms:
K 0.0000 0.0000 0.0000 (multiplicity 2)
Tc 0.0000 0.5000 0.5000 (multiplicity 2)
Te 0.2339 0.0000 0.6781 (multiplicity 4)


# 4
# Sr2Cd9Ag6
Computed powder diffractogram, λ = 1.5418 Å (Cu Kα). Input: a DFT-relaxed cell (PBE, Alexandria).

Top 10 peaks for 15 to 90 degrees two-theta, by intensity:
index	d_spacing	I/Imax
1 1 3	2.512	100
2 0 3	2.255	72
1 0 0	5.121	55
0 0 6	2.381	35
2 0 0	2.561	28
2 2 6	1.256	25
3 0 3	1.607	24
2 2 0	1.478	22
2 0 6	1.744	17
1 1 9	1.398	15

Atomic structure:
abc: 5.9135 5.9135 14.2839
angles: 90.00 90.00 120.00
Space group P6/mmm (No. 191)
One atom of each set of equivalent atoms:
Sr 0.0000 0.0000 0.1680 (multiplicity 2)
Cd 0.0000 0.5000 0.0000 (multiplicity 3)
Cd 0.0000 0.5000 0.3373 (multiplicity 6)
Ag 0.3333 0.6667 0.1696 (multiplicity 4)
Ag 0.3333 0.6667 0.5000 (multiplicity 2)


# 5
# NdSm5Hg3
Computed powder diffractogram, λ = 1.5418 Å (Cu Kα). Input: a DFT-relaxed cell (PBE, Alexandria).

Top 10 peaks for 15 to 90 degrees two-theta, by intensity:
index	d_spacing	I/Imax
3 0 0	2.682	100
1 1 2	2.814	96
4 1 2	1.572	34
2 2 2	1.941	33
3 0 4	1.476	33
3 3 0	1.548	19
3 0 2	2.137	17
3 3 4	1.165	15
5 2 2	1.210	14
6 0 0	1.341	12

Atomic structure:
abc: 9.2895 9.2895 7.0730
angles: 90.00 90.00 120.00
Space group P6_3/mcm (No. 193)
One atom of each set of equivalent atoms:
Nd 0.0000 0.0000 0.0000 (multiplicity 2)
Sm 0.0000 0.3315 0.2500 (multiplicity 6)
Sm 0.3333 0.6667 0.0000 (multiplicity 4)
Hg 0.0000 0.3370 0.7500 (multiplicity 6)


# 6
# KReAg2O4
Computed powder diffractogram, λ = 1.5418 Å (Cu Kα). Input: a DFT-relaxed cell (PBE, Alexandria).

Top 10 peaks for 15 to 90 degrees two-theta, by intensity:
index	d_spacing	I/Imax
2 0 2	3.146	100
1 1 1	4.847	36
2 2 4	1.940	28
4 2 2	1.627	26
2 2 0	2.688	25
0 2 6	1.677	14
0 0 4	2.802	14
4 2 6	1.257	12
1 1 3	3.068	8
3 1 1	2.351	7

Atomic structure:
abc: 7.5934 7.6113 11.2080
angles: 90.00 90.00 90.00
Space group Fmm2 (No. 42)
One atom of each set of equivalent atoms:
K 0.0000 0.0000 0.0000 (multiplicity 4)
Re 0.0000 0.0000 0.5010 (multiplicity 4)
Ag 0.2500 0.2500 0.2506 (multiplicity 8)
O 0.0000 0.1859 0.4022 (multiplicity 8)
O 0.1864 0.0000 0.5998 (multiplicity 8)


What is the formula in the third record?
KTcTe2